Record 1
The following is a calculated X-ray powder pattern of Na8Li9Fe4O16. It was derived from a crystal structure in the Materials Project, relaxed with GGA+U, using CuKα.
Kinematic intensities with the Lorentz-polarization factor, no thermal factor.

Main lines, sorted by position (2θ = 15–90°):
| 2θ/deg | d [Å] | I_rel |
| --- | --- | --- |
| 17.00 | 5.217 | 47 |
| 17.26 | 5.137 | 53 |
| 20.51 | 4.331 | 43 |
| 22.11 | 4.020 | 54 |
| 24.24 | 3.672 | 100 |
| 34.38 | 2.608 | 56 |
| 34.93 | 2.569 | 74 |
| 35.15 | 2.553 | 51 |
| 45.10 | 2.010 | 31 |
| 55.28 | 1.662 | 33 |

Structural model:
a = 6.648 Å, b = 8.041 Å, c = 8.256 Å
α = 89.83°, β = 89.11°, γ = 89.68°
Fractional positions:
Na (0.000, 0.000, 0.000)
Na (0.013, 0.506, 0.486)
Na (0.228, 0.778, 0.760)
Na (0.245, 0.246, 0.262)
Na (0.493, 0.501, 0.521)
Na (0.507, 0.999, 0.037)
Na (0.748, 0.748, 0.263)
Na (0.787, 0.240, 0.747)
Li (0.000, 0.517, 0.872)
Li (0.010, 0.989, 0.375)
Li (0.235, 0.210, 0.594)
Li (0.279, 0.789, 0.423)
Li (0.505, 0.014, 0.652)
Li (0.505, 0.494, 0.167)
Li (0.515, 0.525, 0.861)
Li (0.750, 0.736, 0.929)
Li (0.775, 0.293, 0.096)
Fe (0.239, 0.718, 0.135)
Fe (0.267, 0.279, 0.888)
Fe (0.741, 0.221, 0.387)
Fe (0.762, 0.780, 0.637)
O (0.012, 0.290, 0.967)
O (0.014, 0.712, 0.002)
O (0.231, 0.933, 0.229)
O (0.261, 0.457, 0.747)
O (0.275, 0.561, 0.302)
O (0.282, 0.072, 0.801)
O (0.498, 0.696, 0.029)
O (0.505, 0.309, 0.996)
O (0.507, 0.206, 0.505)
O (0.509, 0.792, 0.556)
O (0.731, 0.433, 0.301)
O (0.744, 0.947, 0.787)
O (0.764, 0.565, 0.732)
O (0.768, 0.056, 0.234)
O (0.993, 0.213, 0.477)
O (0.998, 0.795, 0.521)



Record 2
The following is a calculated X-ray powder pattern of Na2Li3FeO4. It was derived from a crystal structure in the Materials Project, relaxed with GGA+U, using CuKα.
Kinematic intensities with the Lorentz-polarization factor, no thermal factor.

Main lines, sorted by position (2θ = 15–90°):
| 2θ/deg | d [Å] | I_rel |
| --- | --- | --- |
| 17.01 | 5.212 | 72 |
| 20.31 | 4.372 | 67 |
| 23.94 | 3.717 | 75 |
| 28.05 | 3.181 | 48 |
| 34.41 | 2.606 | 100 |
| 35.03 | 2.562 | 39 |
| 35.19 | 2.550 | 40 |
| 36.23 | 2.479 | 41 |
| 36.62 | 2.454 | 60 |
| 49.06 | 1.857 | 56 |

Structural model:
a = 8.031 Å, b = 8.386 Å, c = 6.653 Å
α = 90.00°, β = 90.00°, γ = 90.00°
Fractional positions:
Na (0.000, 0.000, 0.240)
Na (0.000, 0.000, 0.760)
Na (0.242, 0.248, 0.500)
Na (0.258, 0.748, 0.000)
Na (0.500, 0.500, 0.260)
Na (0.500, 0.500, 0.740)
Na (0.742, 0.252, 0.000)
Na (0.758, 0.752, 0.500)
Li (0.014, 0.648, 0.256)
Li (0.014, 0.648, 0.744)
Li (0.232, 0.585, 0.500)
Li (0.268, 0.085, 0.000)
Li (0.486, 0.148, 0.244)
Li (0.486, 0.148, 0.756)
Li (0.514, 0.852, 0.244)
Li (0.514, 0.852, 0.756)
Li (0.732, 0.915, 0.000)
Li (0.768, 0.415, 0.500)
Li (0.986, 0.352, 0.256)
Li (0.986, 0.352, 0.744)
Fe (0.226, 0.377, 0.000)
Fe (0.274, 0.877, 0.500)
Fe (0.726, 0.123, 0.500)
Fe (0.774, 0.623, 0.000)
O (0.048, 0.223, 0.000)
O (0.060, 0.775, 0.500)
O (0.196, 0.490, 0.244)
O (0.196, 0.490, 0.756)
O (0.304, 0.990, 0.256)
O (0.304, 0.990, 0.744)
O (0.440, 0.275, 0.000)
O (0.452, 0.723, 0.500)
O (0.548, 0.277, 0.500)
O (0.560, 0.725, 0.000)
O (0.696, 0.010, 0.256)
O (0.696, 0.010, 0.744)
O (0.804, 0.510, 0.244)
O (0.804, 0.510, 0.756)
O (0.940, 0.225, 0.500)
O (0.952, 0.777, 0.000)



Record 3
The following is a calculated X-ray powder pattern of Na2LiFeO4. It was derived from a crystal structure in the Materials Project, relaxed with GGA+U, using CuKα.
Kinematic intensities with the Lorentz-polarization factor, no thermal factor.

Main lines, sorted by position (2θ = 15–90°):
| 2θ/deg | d [Å] | I_rel |
| --- | --- | --- |
| 17.43 | 5.089 | 67 |
| 20.89 | 4.252 | 87 |
| 22.98 | 3.870 | 52 |
| 23.80 | 3.738 | 100 |
| 28.16 | 3.169 | 32 |
| 28.99 | 3.080 | 39 |
| 35.28 | 2.544 | 97 |
| 36.38 | 2.470 | 52 |
| 36.50 | 2.461 | 46 |
| 49.83 | 1.830 | 27 |

Structural model:
a = 7.740 Å, b = 8.538 Å, c = 6.337 Å
α = 90.00°, β = 90.00°, γ = 90.00°
Fractional positions:
Na (0.000, 0.000, 0.239)
Na (0.000, 0.000, 0.761)
Na (0.241, 0.258, 0.000)
Na (0.259, 0.758, 0.500)
Na (0.500, 0.500, 0.261)
Na (0.500, 0.500, 0.739)
Na (0.741, 0.242, 0.500)
Na (0.759, 0.742, 0.000)
Li (0.162, 0.415, 0.500)
Li (0.338, 0.915, 0.000)
Li (0.662, 0.085, 0.000)
Li (0.838, 0.585, 0.500)
Fe (0.211, 0.631, 0.000)
Fe (0.289, 0.131, 0.500)
Fe (0.711, 0.869, 0.500)
Fe (0.789, 0.369, 0.000)
O (0.075, 0.199, 0.500)
O (0.081, 0.797, 0.000)
O (0.201, 0.535, 0.244)
O (0.201, 0.535, 0.756)
O (0.299, 0.035, 0.256)
O (0.299, 0.035, 0.744)
O (0.419, 0.297, 0.500)
O (0.425, 0.699, 0.000)
O (0.575, 0.301, 0.000)
O (0.581, 0.703, 0.500)
O (0.701, 0.965, 0.256)
O (0.701, 0.965, 0.744)
O (0.799, 0.465, 0.244)
O (0.799, 0.465, 0.756)
O (0.919, 0.203, 0.000)
O (0.925, 0.801, 0.500)



Record 4
The following is a calculated X-ray powder pattern of Na2Li2FeO4. It was derived from a crystal structure in the Materials Project, relaxed with GGA+U, using CuKα.
Kinematic intensities with the Lorentz-polarization factor, no thermal factor.

Main lines, sorted by position (2θ = 15–90°):
| 2θ/deg | d [Å] | I_rel |
| --- | --- | --- |
| 17.19 | 5.158 | 86 |
| 20.46 | 4.341 | 77 |
| 22.13 | 4.017 | 52 |
| 24.38 | 3.651 | 97 |
| 28.16 | 3.169 | 45 |
| 34.78 | 2.579 | 100 |
| 35.26 | 2.545 | 49 |
| 37.31 | 2.410 | 58 |
| 49.60 | 1.838 | 45 |
| 55.41 | 1.658 | 51 |

Structural model:
a = 6.637 Å, b = 8.198 Å, c = 10.416 Å
α = 90.00°, β = 129.53°, γ = 90.00°
Fractional positions:
Na (0.233, 0.246, 0.246)
Na (0.233, 0.254, 0.746)
Na (0.260, 0.026, 0.003)
Na (0.260, 0.474, 0.503)
Na (0.740, 0.526, 0.497)
Na (0.740, 0.974, 0.997)
Na (0.767, 0.746, 0.254)
Na (0.767, 0.754, 0.754)
Li (0.172, 0.585, 0.201)
Li (0.172, 0.915, 0.701)
Li (0.264, 0.642, 0.011)
Li (0.264, 0.858, 0.511)
Li (0.736, 0.142, 0.489)
Li (0.736, 0.358, 0.989)
Li (0.828, 0.085, 0.299)
Li (0.828, 0.415, 0.799)
Fe (0.304, 0.625, 0.781)
Fe (0.304, 0.875, 0.281)
Fe (0.696, 0.125, 0.719)
Fe (0.696, 0.375, 0.219)
O (0.056, 0.539, 0.789)
O (0.056, 0.961, 0.289)
O (0.101, 0.709, 0.568)
O (0.101, 0.791, 0.068)
O (0.440, 0.725, 0.448)
O (0.440, 0.775, 0.948)
O (0.447, 0.009, 0.701)
O (0.447, 0.491, 0.201)
O (0.553, 0.509, 0.799)
O (0.553, 0.991, 0.299)
O (0.560, 0.225, 0.052)
O (0.560, 0.275, 0.552)
O (0.899, 0.209, 0.932)
O (0.899, 0.291, 0.432)
O (0.944, 0.039, 0.711)
O (0.944, 0.461, 0.211)